Entry 1:
For Ta5Nb6W, a DFT-relaxed cell (PBE, Alexandria) gives the calculated XRD peak list in this record (Cu Kα (weighted mean of Kα1 and Kα2)).

Peak list (10 most intense, 10° ≤ 2θ ≤ 90°, sorted by position)
2θ/deg  d [Å]  I/Imax
26.96  3.308  9.1
38.53  2.336  100.0
38.63  2.331  19.8
55.57  1.654  13.8
55.83  1.647  6.8
69.63  1.350  14.0
69.76  1.348  20.8
69.94  1.345  6.9
82.50  1.169  6.6
82.76  1.166  6.5

Structure:
a b c (Å): 8.0706 8.0706 4.6762
angles (deg): 106.59 106.59 48.36
Positions (direct):
1 Ta 0.0000 0.0000 0.0000
2 Ta 0.1660 0.1660 0.6660
3 Ta 0.3314 0.3314 0.3317
4 Ta 0.6686 0.6686 0.6683
5 Ta 0.8340 0.8340 0.3340
6 Nb 0.0884 0.5830 0.8358
7 Nb 0.2553 0.7447 0.5000
8 Nb 0.4170 0.9116 0.1642
9 Nb 0.5830 0.0884 0.8358
10 Nb 0.7447 0.2553 0.5000
11 Nb 0.9116 0.4170 0.1642
12 W 0.5000 0.5000 0.0000



Entry 2:
For Sm4N2Cl, a DFT-relaxed cell (PBE, Alexandria) gives the calculated XRD peak list in this record (Cu Kα (weighted mean of Kα1 and Kα2)).

Peak list (10 most intense, 10° ≤ 2θ ≤ 90°, sorted by position)
2θ/deg  d [Å]  I/Imax
13.48  6.570  27.2
27.15  3.285  27.9
28.78  3.102  23.5
30.64  2.918  66.3
32.64  2.743  100.0
33.84  2.649  42.2
41.39  2.182  39.8
50.31  1.814  44.9
55.00  1.670  24.2
58.10  1.588  21.5

Structure:
a b c (Å): 13.3055 13.3055 13.3055
angles (deg): 15.67 15.67 15.67
Positions (direct):
1 Sm 0.1225 0.1225 0.1225
2 Sm 0.2781 0.2781 0.2781
3 Sm 0.7219 0.7219 0.7219
4 Sm 0.8775 0.8775 0.8775
5 N 0.4202 0.4202 0.4202
6 N 0.5798 0.5798 0.5798
7 Cl 0.0000 0.0000 0.0000



Entry 3:
For La2Dy2Tm5, a DFT-relaxed cell (PBE, Alexandria) gives the calculated XRD peak list in this record (Cu Kα (weighted mean of Kα1 and Kα2)).

Peak list (10 most intense, 10° ≤ 2θ ≤ 90°, sorted by position)
2θ/deg  d [Å]  I/Imax
28.44  3.139  77.5
30.26  2.954  100.0
30.64  2.918  74.9
30.97  2.888  64.6
32.97  2.717  68.9
33.10  2.706  52.0
35.79  2.509  53.1
37.88  2.375  40.6
39.68  2.271  28.0
58.85  1.569  25.4

Structure:
a b c (Å): 10.0795 10.0795 10.0795
angles (deg): 84.76 108.24 141.10
Positions (direct):
1 La 0.0001 0.1273 0.1273
2 La 0.0001 0.3727 0.3728
3 La 0.9999 0.6273 0.6272
4 La 0.9999 0.8727 0.8727
5 Dy 0.4435 0.2044 0.7391
6 Dy 0.4653 0.7044 0.2609
7 Dy 0.5440 0.0440 0.5000
8 Dy 0.5440 0.5440 0.0000
9 Tm 0.1136 0.4112 0.8087
10 Tm 0.1136 0.8049 0.2025
11 Tm 0.3929 0.8987 0.9941
12 Tm 0.4430 0.3191 0.4095
13 Tm 0.4430 0.5335 0.6239
14 Tm 0.6025 0.3049 0.1913
15 Tm 0.6025 0.9112 0.7975
16 Tm 0.9046 0.3987 0.0059
17 Tm 0.9096 0.0335 0.5905
18 Tm 0.9096 0.8191 0.3761



Entry 4:
For V12SiAu3, a DFT-relaxed cell (PBE, Alexandria) gives the calculated XRD peak list in this record (Cu Kα (weighted mean of Kα1 and Kα2)).

Peak list (10 most intense, 10° ≤ 2θ ≤ 90°, sorted by position)
2θ/deg  d [Å]  I/Imax
18.34  4.837  9.8
20.52  4.328  9.1
26.05  3.420  58.9
37.10  2.424  15.5
37.22  2.416  30.3
41.73  2.164  23.8
41.81  2.161  11.7
45.96  1.975  100.0
73.16  1.294  24.7
73.28  1.292  24.4

Structure:
a b c (Å): 4.8304 4.8472 9.6664
angles (deg): 90.00 90.00 90.00
Positions (direct):
1 V 0.0000 0.0000 0.1220
2 V 0.0000 0.0000 0.3750
3 V 0.0000 0.0000 0.6250
4 V 0.0000 0.0000 0.8780
5 V 0.2475 0.5000 0.0000
6 V 0.2611 0.5000 0.5000
7 V 0.5000 0.2452 0.2627
8 V 0.5000 0.2452 0.7373
9 V 0.5000 0.7548 0.2627
10 V 0.5000 0.7548 0.7373
11 V 0.7389 0.5000 0.5000
12 V 0.7525 0.5000 0.0000
13 Si 0.5000 0.0000 0.5000
14 Au 0.0000 0.5000 0.2491
15 Au 0.0000 0.5000 0.7509
16 Au 0.5000 0.0000 0.0000



Entry 5:
For Ac8PdRh4, a DFT-relaxed cell (PBE, Alexandria) gives the calculated XRD peak list in this record (Cu Kα (weighted mean of Kα1 and Kα2)).

Peak list (10 most intense, 10° ≤ 2θ ≤ 90°, sorted by position)
2θ/deg  d [Å]  I/Imax
11.16  7.930  37.6
25.52  3.490  43.0
26.38  3.378  81.1
27.21  3.277  38.1
27.68  3.223  100.0
28.68  3.113  43.2
31.15  2.872  35.5
33.00  2.715  29.3
41.11  2.196  37.5
42.98  2.105  63.7

Structure:
a b c (Å): 10.7517 10.7517 14.2369
angles (deg): 130.06 130.06 23.57
Positions (direct):
1 Ac 0.0000 0.0000 0.0000
2 Ac 0.0257 0.0257 0.7402
3 Ac 0.2962 0.2962 0.9235
4 Ac 0.3323 0.3323 0.6715
5 Ac 0.3747 0.3747 0.4114
6 Ac 0.6266 0.6266 0.5992
7 Ac 0.7050 0.7050 0.0731
8 Ac 0.9542 0.9542 0.2608
9 Pd 0.8329 0.8329 0.5170
10 Rh 0.0080 0.0080 0.5113
11 Rh 0.3260 0.3260 0.1578
12 Rh 0.5227 0.5227 0.8849
13 Rh 0.8121 0.8121 0.8007



Entry 6:
For Ni5PdSe8, a DFT-relaxed cell (PBE, Alexandria) gives the calculated XRD peak list in this record (Cu Kα (weighted mean of Kα1 and Kα2)).

Peak list (10 most intense, 10° ≤ 2θ ≤ 90°, sorted by position)
2θ/deg  d [Å]  I/Imax
24.88  3.579  25.4
29.26  3.053  51.4
30.59  2.923  35.7
35.47  2.531  68.3
46.62  1.948  43.2
51.03  1.790  100.0
60.68  1.526  11.3
63.68  1.461  13.4
75.06  1.266  13.7
85.86  1.132  14.9

Structure:
a b c (Å): 7.1589 7.1589 7.1589
angles (deg): 60.00 60.00 60.00
Positions (direct):
1 Ni 0.0000 0.0000 0.0000
2 Ni 0.1234 0.6255 0.6255
3 Ni 0.6255 0.1234 0.6255
4 Ni 0.6255 0.6255 0.1234
5 Ni 0.6255 0.6255 0.6255
6 Pd 0.2500 0.2500 0.2500
7 Se 0.3892 0.3892 0.3892
8 Se 0.3892 0.3892 0.8324
9 Se 0.3892 0.8324 0.3892
10 Se 0.4020 0.8660 0.8660
11 Se 0.8324 0.3892 0.3892
12 Se 0.8660 0.4020 0.8660
13 Se 0.8660 0.8660 0.4020
14 Se 0.8660 0.8660 0.8660